Starting from the PBE geometry in Alexandria, the powder X-ray diffraction pattern of Li3Ga2Ag4Sn2 was simulated for Cu Kα (λ = 1.5418 Å).
Neutral-atom scattering factors, no anomalous dispersion.

Top 12 peaks for 2θ from 10° to 90°, by angle:
2θ = 23.0°, I 97; 2θ = 24.0°, I 35; 2θ = 27.4°, I 28; 2θ = 36.1°, I 33; 2θ = 40.3°, I 99; 2θ = 41.8°, I 100; 2θ = 46.9°, I 14; 2θ = 49.5°, I 32; 2θ = 59.5°, I 34; 2θ = 69.4°, I 18; 2θ = 73.3°, I 16; 2θ = 74.4°, I 36

Structure:
Cell lengths 4.4727, 4.4727, 13.0054 Å; angles 90.00, 90.00, 120.00 degrees
Space group P-3m1 (No. 164)
Asymmetric unit:
Li (0.0000, 0.0000, 0.0000) x1
Li (0.0000, 0.0000, 0.2731) x2
Ga (0.3333, 0.6667, 0.5699) x2
Ag (0.3333, 0.6667, 0.3662) x2
Ag (0.3333, 0.6667, 0.9292) x2
Sn (0.3333, 0.6667, 0.1530) x2